Calculated powder diffraction line list
Compound: PmEr2Zn2
Radiation: Cu Kα (λ = 1.5418 Å)
Structure: DFT lattice parameters and positions (GGA-PBE)

Atomic structure:
```
PmEr2Zn2
1.0
3.6038 0.0000 0.0000
0.0000 5.1941 0.0000
-1.8020 0.0000 13.2078
Pm Er Zn
2 4 4
Cartesian
0.0047 1.2985 3.7886 Pm
1.7971 3.8956 9.4192 Pm
-0.0003 3.8956 1.2287 Er
-0.0009 3.8956 6.1484 Er
1.8027 1.2985 7.0594 Er
1.8021 1.2985 11.9791 Er
-0.0008 1.2985 9.5028 Zn
0.0014 3.8956 11.9858 Zn
1.8004 1.2985 1.2220 Zn
1.8026 3.8956 3.7050 Zn
```

Peak list (10 most intense, 2θ from 10° to 90°, sorted by position)
| two_theta | I_rel | index |
| --- | --- | --- |
| 26.54 | 17 | 0 1 3 |
| 33.94 | 19 | 0 0 5 |
| 34.54 | 28 | 0 2 0 |
| 34.73 | 100 | 1 1 2 |
| 49.20 | 13 | 0 2 5 |
| 50.66 | 9 | 2 0 -1 |
| 61.24 | 9 | 1 1 7 |
| 62.01 | 18 | 1 3 2 |
| 62.76 | 10 | 2 2 -1 |
| 73.30 | 8 | 2 2 4 |